Computed powder XRD pattern of MgCu2B for Cu Kα X-rays, from a crystal structure in OQMD, relaxed with PBE.
Lines closer than 0.1° are merged.

Crystal structure
Unit cell a=5.752 b=5.752 c=5.752 alpha=90.00 beta=90.00 gamma=90.00
Atoms (fractional coordinates):
Mg 0.000 0.000 0.000
Mg 0.000 0.000 0.500
Mg 0.000 0.500 0.000
Mg 0.500 0.000 0.000
Cu 0.283 0.283 0.283
Cu 0.283 0.283 0.717
Cu 0.283 0.717 0.283
Cu 0.283 0.717 0.717
Cu 0.717 0.283 0.283
Cu 0.717 0.283 0.717
Cu 0.717 0.717 0.283
Cu 0.717 0.717 0.717
B 0.000 0.500 0.500
B 0.500 0.000 0.500
B 0.500 0.500 0.000
B 0.500 0.500 0.500

Most intense lines, 5° ≤ 2θ ≤ 70°, in order of rising 2θ:
15.4°, I = 146
31.1°, I = 537
34.9°, I = 228
44.6°, I = 1000
47.4°, I = 170
55.3°, I = 80
57.8°, I = 165
64.8°, I = 107
67.1°, I = 147
69.3°, I = 25